(1)
Computed PXRD pattern of K4AsBr6 for Cu Kα (λ = 1.5418 Å), from a GGA-PBE-relaxed structure.
Kinematic intensities with the Lorentz-polarization factor, no thermal factor.

Largest 10 diffraction maxima, in order of falling intensity, 2θ from 10° to 80°:
d_spacing, two_theta, I/Imax
2.881, 31.04, 100
3.037, 29.41, 93
1.787, 51.12, 42
6.442, 13.75, 32
1.288, 73.50, 20
2.037, 44.47, 20
2.278, 39.57, 18
1.988, 45.63, 18
1.942, 46.77, 16
2.747, 32.60, 16

Cell and atoms:
Cell lengths 9.110, 9.110, 9.110 Å; angles 90.00, 90.00, 90.00 degrees
Atoms (fractional coordinates):
K: 0.165 0.335 0.250
K: 0.165 0.335 0.750
K: 0.335 0.835 0.250
K: 0.335 0.835 0.750
K: 0.665 0.165 0.250
K: 0.665 0.165 0.750
K: 0.835 0.665 0.250
K: 0.835 0.665 0.750
As: 0.000 0.000 0.000
As: 0.500 0.500 0.500
Br: 0.000 0.000 0.291
Br: 0.000 0.000 0.709
Br: 0.109 0.683 0.000
Br: 0.183 0.609 0.500
Br: 0.317 0.109 0.000
Br: 0.391 0.183 0.500
Br: 0.500 0.500 0.209
Br: 0.500 0.500 0.791
Br: 0.609 0.817 0.500
Br: 0.683 0.891 0.000
Br: 0.817 0.391 0.500
Br: 0.891 0.317 0.000

(2)
Computed PXRD pattern of Tb4PmSm15 for Cu Kα (λ = 1.5418 Å), from a GGA-PBE-relaxed structure.
Kinematic intensities with the Lorentz-polarization factor, no thermal factor.

Largest 6 diffraction maxima, in order of falling intensity, 2θ from 10° to 80°:
d_spacing, two_theta, I/Imax
2.952, 30.27, 100
2.557, 35.10, 51
1.542, 60.00, 43
1.808, 50.48, 36
1.476, 62.97, 12
1.278, 74.18, 6

Cell and atoms:
Cell lengths 5.115, 5.115, 25.552 Å; angles 90.00, 90.00, 90.00 degrees
Atoms (fractional coordinates):
Tb: 0.000 0.000 0.100
Tb: 0.000 0.000 0.299
Tb: 0.000 0.000 0.701
Tb: 0.000 0.000 0.900
Pm: 0.000 0.000 0.500
Sm: 0.000 0.500 0.000
Sm: 0.000 0.500 0.200
Sm: 0.000 0.500 0.399
Sm: 0.000 0.500 0.601
Sm: 0.000 0.500 0.800
Sm: 0.500 0.000 0.000
Sm: 0.500 0.000 0.200
Sm: 0.500 0.000 0.399
Sm: 0.500 0.000 0.601
Sm: 0.500 0.000 0.800
Sm: 0.500 0.500 0.100
Sm: 0.500 0.500 0.299
Sm: 0.500 0.500 0.500
Sm: 0.500 0.500 0.701
Sm: 0.500 0.500 0.900

(3)
Computed PXRD pattern of Ce2Pm5Ge4 for Cu Kα (λ = 1.5418 Å), from a GGA-PBE-relaxed structure.
Kinematic intensities with the Lorentz-polarization factor, no thermal factor.

Largest 10 diffraction maxima, in order of falling intensity, 2θ from 10° to 80°:
d_spacing, two_theta, I/Imax
2.940, 30.40, 100
2.719, 32.95, 90
2.497, 35.97, 77
2.986, 29.92, 75
3.533, 25.21, 59
2.411, 37.29, 46
3.405, 26.17, 32
2.130, 42.44, 31
1.786, 51.15, 29
3.229, 27.63, 26

Cell and atoms:
Cell lengths 13.037, 13.037, 7.051 Å; angles 90.28, 90.28, 15.75 degrees
Atoms (fractional coordinates):
Ce: 0.093 0.093 0.194
Ce: 0.907 0.907 0.806
Pm: 0.132 0.132 0.686
Pm: 0.233 0.233 0.254
Pm: 0.500 0.500 0.500
Pm: 0.767 0.767 0.746
Pm: 0.868 0.868 0.314
Ge: 0.024 0.024 0.845
Ge: 0.327 0.327 0.007
Ge: 0.673 0.673 0.993
Ge: 0.976 0.976 0.155

(4)
Computed PXRD pattern of Ho3TmTl6 for Cu Kα (λ = 1.5418 Å), from a GGA-PBE-relaxed structure.
Kinematic intensities with the Lorentz-polarization factor, no thermal factor.

Largest 10 diffraction maxima, in order of falling intensity, 2θ from 10° to 80°:
d_spacing, two_theta, I/Imax
2.676, 33.49, 100
2.034, 44.55, 67
3.129, 28.52, 60
2.199, 41.05, 59
3.090, 28.89, 59
1.341, 70.17, 44
1.699, 53.98, 28
1.484, 62.58, 27
2.701, 33.16, 26
5.352, 16.56, 22

Cell and atoms:
Cell lengths 6.927, 6.927, 6.927 Å; angles 101.18, 101.18, 101.18 degrees
Atoms (fractional coordinates):
Ho: 0.194 0.194 0.612
Ho: 0.194 0.612 0.194
Ho: 0.612 0.194 0.194
Tm: 0.089 0.089 0.089
Tl: 0.290 0.829 0.829
Tl: 0.519 0.519 0.948
Tl: 0.519 0.948 0.519
Tl: 0.829 0.290 0.829
Tl: 0.829 0.829 0.290
Tl: 0.948 0.519 0.519

(5)
Computed PXRD pattern of Na2SrInP2 for Cu Kα (λ = 1.5418 Å), from a GGA-PBE-relaxed structure.
Kinematic intensities with the Lorentz-polarization factor, no thermal factor.

Largest 10 diffraction maxima, in order of falling intensity, 2θ from 10° to 80°:
d_spacing, two_theta, I/Imax
8.226, 10.76, 100
2.792, 32.06, 84
5.499, 16.12, 81
2.403, 37.43, 78
2.914, 30.69, 72
3.692, 24.11, 68
2.488, 36.10, 64
2.968, 30.11, 49
2.750, 32.57, 48
3.170, 28.15, 45

Cell and atoms:
Cell lengths 4.976, 8.226, 7.395 Å; angles 90.00, 90.00, 90.00 degrees
Atoms (fractional coordinates):
Na: 0.000 0.090 0.000
Na: 0.000 0.910 0.500
Na: 0.500 0.140 0.321
Na: 0.500 0.860 0.821
Sr: 0.500 0.453 0.976
Sr: 0.500 0.547 0.476
In: 0.000 0.298 0.629
In: 0.000 0.702 0.129
P: 0.000 0.371 0.254
P: 0.000 0.629 0.754
P: 0.500 0.188 0.699
P: 0.500 0.812 0.199

(6)
Computed PXRD pattern of BaAcPd2O5 for Cu Kα (λ = 1.5418 Å), from a GGA-PBE-relaxed structure.
Kinematic intensities with the Lorentz-polarization factor, no thermal factor.

Largest 10 diffraction maxima, in order of falling intensity, 2θ from 10° to 80°:
d_spacing, two_theta, I/Imax
2.877, 31.09, 100
2.943, 30.37, 48
1.686, 54.42, 42
2.081, 43.49, 28
1.649, 55.76, 19
1.438, 64.82, 14
7.961, 11.11, 11
1.990, 45.58, 10
1.310, 72.10, 9
1.472, 63.19, 9

Cell and atoms:
Cell lengths 4.162, 4.162, 7.961 Å; angles 90.00, 90.00, 90.00 degrees
Atoms (fractional coordinates):
Ba: 0.000 0.000 0.000
Ac: 0.000 0.000 0.500
Pd: 0.500 0.500 0.268
Pd: 0.500 0.500 0.732
O: 0.000 0.500 0.299
O: 0.000 0.500 0.701
O: 0.500 0.000 0.299
O: 0.500 0.000 0.701
O: 0.500 0.500 0.000

(7)
Computed PXRD pattern of Cs6Rb23Na for Cu Kα (λ = 1.5418 Å), from a GGA-PBE-relaxed structure.
Kinematic intensities with the Lorentz-polarization factor, no thermal factor.

Largest 10 diffraction maxima, in order of falling intensity, 2θ from 10° to 80°:
d_spacing, two_theta, I/Imax
4.000, 22.22, 100
4.355, 20.39, 71
2.274, 39.63, 23
2.667, 33.60, 22
4.619, 19.21, 18
2.310, 39.00, 17
3.772, 23.59, 14
1.691, 54.23, 14
2.188, 41.27, 13
3.825, 23.25, 13

Cell and atoms:
Cell lengths 16.001, 16.001, 16.001 Å; angles 60.00, 60.00, 60.00 degrees
Atoms (fractional coordinates):
Cs: 0.201 0.201 0.799
Cs: 0.201 0.799 0.201
Cs: 0.201 0.799 0.799
Cs: 0.799 0.201 0.201
Cs: 0.799 0.201 0.799
Cs: 0.799 0.799 0.201
Rb: 0.000 0.000 0.500
Rb: 0.000 0.500 0.000
Rb: 0.000 0.500 0.500
Rb: 0.144 0.619 0.619
Rb: 0.167 0.167 0.167
Rb: 0.167 0.167 0.500
Rb: 0.167 0.500 0.167
Rb: 0.381 0.381 0.381
Rb: 0.381 0.381 0.856
Rb: 0.381 0.856 0.381
Rb: 0.500 0.000 0.000
Rb: 0.500 0.000 0.500
Rb: 0.500 0.167 0.167
Rb: 0.500 0.500 0.000
Rb: 0.500 0.500 0.500
Rb: 0.500 0.833 0.833
Rb: 0.619 0.144 0.619
Rb: 0.619 0.619 0.144
Rb: 0.619 0.619 0.619
Rb: 0.833 0.500 0.833
Rb: 0.833 0.833 0.500
Rb: 0.833 0.833 0.833
Rb: 0.856 0.381 0.381
Na: 0.000 0.000 0.000

(8)
Computed PXRD pattern of PmDyEr3Tm for Cu Kα (λ = 1.5418 Å), from a GGA-PBE-relaxed structure.
Kinematic intensities with the Lorentz-polarization factor, no thermal factor.

Largest 10 diffraction maxima, in order of falling intensity, 2θ from 10° to 80°:
d_spacing, two_theta, I/Imax
2.753, 32.53, 100
2.894, 30.90, 84
2.680, 33.44, 69
2.663, 33.65, 34
2.697, 33.22, 33
1.889, 48.18, 25
1.560, 59.21, 18
1.585, 58.21, 16
1.662, 55.25, 14
2.120, 42.64, 13

Cell and atoms:
Cell lengths 11.357, 11.357, 6.737 Å; angles 97.91, 97.91, 27.29 degrees
Atoms (fractional coordinates):
Pm: 0.130 0.130 0.475
Pm: 0.870 0.870 0.525
Dy: 0.167 0.167 0.032
Dy: 0.833 0.833 0.968
Er: 0.025 0.025 0.776
Er: 0.274 0.274 0.685
Er: 0.330 0.330 0.225
Er: 0.670 0.670 0.775
Er: 0.726 0.726 0.315
Er: 0.975 0.975 0.224
Tm: 0.427 0.427 0.848
Tm: 0.573 0.573 0.152

(9)
Computed PXRD pattern of TbPm4Dy2 for Cu Kα (λ = 1.5418 Å), from a GGA-PBE-relaxed structure.
Kinematic intensities with the Lorentz-polarization factor, no thermal factor.

Largest 10 diffraction maxima, in order of falling intensity, 2θ from 10° to 80°:
d_spacing, two_theta, I/Imax
2.734, 32.75, 100
2.874, 31.12, 83
2.722, 32.91, 82
2.846, 31.43, 78
2.860, 31.28, 55
3.105, 28.75, 49
2.902, 30.81, 46
3.184, 28.02, 37
3.318, 26.87, 32
1.437, 64.90, 32

Cell and atoms:
Cell lengths 6.210, 6.636, 11.661 Å; angles 90.00, 104.76, 90.00 degrees
Atoms (fractional coordinates):
Tb: 0.152 0.250 0.162
Tb: 0.848 0.750 0.838
Pm: 0.034 0.250 0.862
Pm: 0.150 0.250 0.449
Pm: 0.352 0.508 0.714
Pm: 0.352 0.992 0.714
Pm: 0.648 0.008 0.286
Pm: 0.648 0.492 0.286
Pm: 0.850 0.750 0.551
Pm: 0.966 0.750 0.138
Dy: 0.289 0.750 0.425
Dy: 0.394 0.750 0.004
Dy: 0.606 0.250 0.996
Dy: 0.711 0.250 0.575

(10)
Computed PXRD pattern of CsPSe6 for Cu Kα (λ = 1.5418 Å), from a GGA-PBE-relaxed structure.
Kinematic intensities with the Lorentz-polarization factor, no thermal factor.

Largest 10 diffraction maxima, in order of falling intensity, 2θ from 10° to 80°:
d_spacing, two_theta, I/Imax
3.473, 25.65, 100
3.295, 27.06, 95
3.003, 29.75, 60
2.863, 31.25, 44
2.874, 31.11, 37
4.453, 19.94, 36
3.119, 28.62, 36
2.479, 36.23, 35
3.704, 24.02, 34
2.689, 33.32, 32

Cell and atoms:
Cell lengths 7.210, 12.951, 13.584 Å; angles 90.00, 121.70, 90.00 degrees
Atoms (fractional coordinates):
Cs: 0.000 0.003 0.000
Cs: 0.000 0.997 0.500
Cs: 0.012 0.479 0.251
Cs: 0.012 0.521 0.751
P: 0.509 0.160 0.250
P: 0.509 0.840 0.750
P: 0.512 0.348 0.750
P: 0.512 0.652 0.250
Se: 0.234 0.247 0.732
Se: 0.234 0.753 0.232
Se: 0.235 0.265 0.115
Se: 0.235 0.735 0.615
Se: 0.355 0.074 0.326
Se: 0.355 0.435 0.589
Se: 0.355 0.565 0.089
Se: 0.355 0.926 0.826
Se: 0.423 0.176 0.924
Se: 0.423 0.824 0.424
Se: 0.426 0.331 0.027
Se: 0.426 0.669 0.527
Se: 0.596 0.176 0.575
Se: 0.596 0.824 0.075
Se: 0.598 0.331 0.474
Se: 0.598 0.669 0.974
Se: 0.660 0.072 0.173
Se: 0.660 0.928 0.673
Se: 0.671 0.435 0.912
Se: 0.671 0.565 0.412
Se: 0.787 0.263 0.385
Se: 0.787 0.737 0.885
Se: 0.788 0.246 0.768
Se: 0.788 0.754 0.268

(11)
Computed PXRD pattern of Tb4ErTm3S8 for Cu Kα (λ = 1.5418 Å), from a GGA-PBE-relaxed structure.
Kinematic intensities with the Lorentz-polarization factor, no thermal factor.

Largest 10 diffraction maxima, in order of falling intensity, 2θ from 10° to 80°:
d_spacing, two_theta, I/Imax
2.749, 32.57, 100
3.170, 28.15, 62
1.949, 46.60, 36
1.939, 46.85, 36
3.190, 27.97, 21
1.657, 55.45, 20
1.585, 58.22, 19
1.232, 77.48, 16
1.227, 77.84, 16
1.375, 68.22, 11

Cell and atoms:
Cell lengths 7.795, 7.795, 7.795 Å; angles 59.68, 59.68, 59.68 degrees
Atoms (fractional coordinates):
Tb: 0.000 0.000 0.000
Tb: 0.000 0.500 0.500
Tb: 0.500 0.000 0.500
Tb: 0.500 0.500 0.000
Er: 0.500 0.500 0.500
Tm: 0.000 0.000 0.500
Tm: 0.000 0.500 0.000
Tm: 0.500 0.000 0.000
S: 0.246 0.748 0.748
S: 0.247 0.247 0.247
S: 0.252 0.252 0.754
S: 0.252 0.754 0.252
S: 0.748 0.246 0.748
S: 0.748 0.748 0.246
S: 0.753 0.753 0.753
S: 0.754 0.252 0.252